[1]
Pr6Pt5O: computed X-ray diffraction stick pattern (Cu Kα X-rays), based on a crystal structure in Alexandria, relaxed with PBE.
Neutral-atom scattering factors, no anomalous dispersion.

Largest 10 diffraction maxima, in order of rising 2θ, 2θ from 10° to 90°:
2θ/deg	I (rel.)
30.15	54
30.58	100
43.36	57
43.56	38
44.29	17
53.52	11
53.81	10
54.51	19
63.67	11
71.51	16

Cell and atoms:
abc: 7.132 7.132 7.236
angles: 99.87 99.87 118.69
Positions (direct):
Pr1 0.075 0.385 0.229
Pr2 0.240 0.240 0.741
Pr3 0.385 0.075 0.229
Pr4 0.615 0.925 0.771
Pr5 0.760 0.760 0.259
Pr6 0.925 0.615 0.771
Pt1 0.177 0.823 0.500
Pt2 0.336 0.664 0.000
Pt3 0.500 0.500 0.500
Pt4 0.664 0.336 0.000
Pt5 0.823 0.177 0.500
O1 0.000 0.000 0.000

=====

[2]
AcCdInAg2: computed X-ray diffraction stick pattern (Cu Kα X-rays), based on a crystal structure in Alexandria, relaxed with PBE.
Neutral-atom scattering factors, no anomalous dispersion.

Largest 10 diffraction maxima, in order of rising 2θ, 2θ from 10° to 90°:
2θ/deg	I (rel.)
28.31	12
28.81	50
31.58	100
40.31	39
40.47	46
50.43	21
58.45	26
58.57	15
68.08	21
72.18	12

Cell and atoms:
abc: 7.195 7.195 7.195
angles: 143.91 143.91 51.97
Positions (direct):
Ac1 0.000 0.000 0.000
Cd1 0.250 0.750 0.500
In1 0.750 0.250 0.500
Ag1 0.393 0.393 0.000
Ag2 0.607 0.607 0.000

=====

[3]
LaInBiTe: computed X-ray diffraction stick pattern (Cu Kα X-rays), based on a crystal structure in Alexandria, relaxed with PBE.
Neutral-atom scattering factors, no anomalous dispersion.

Largest 10 diffraction maxima, in order of rising 2θ, 2θ from 10° to 90°:
2θ/deg	I (rel.)
26.07	36
30.93	100
33.05	60
42.57	20
44.42	18
47.44	22
56.46	18
57.72	34
76.77	7
79.00	10

Cell and atoms:
abc: 5.420 5.420 8.806
angles: 90.00 90.00 90.00
Positions (direct):
La1 0.250 0.250 0.198
La2 0.750 0.750 0.802
In1 0.250 0.750 0.500
In2 0.750 0.250 0.500
Bi1 0.250 0.250 0.684
Bi2 0.750 0.750 0.316
Te1 0.250 0.750 0.000
Te2 0.750 0.250 0.000

=====

[4]
NdEr4Tm: computed X-ray diffraction stick pattern (Cu Kα X-rays), based on a crystal structure in Alexandria, relaxed with PBE.
Neutral-atom scattering factors, no anomalous dispersion.

Largest 10 diffraction maxima, in order of rising 2θ, 2θ from 10° to 90°:
2θ/deg	I (rel.)
27.58	50
30.33	15
30.94	56
31.41	95
35.53	100
41.92	33
53.82	21
55.33	19
58.05	24
63.37	52

Cell and atoms:
abc: 3.426 5.781 9.817
angles: 90.00 90.00 90.00
Positions (direct):
Nd1 0.000 0.000 0.000
Er1 0.000 0.500 0.192
Er2 0.000 0.500 0.808
Er3 0.500 0.000 0.315
Er4 0.500 0.000 0.685
Tm1 0.500 0.500 0.500

=====

[5]
Nd4Tm8Sc: computed X-ray diffraction stick pattern (Cu Kα X-rays), based on a crystal structure in Alexandria, relaxed with PBE.
Neutral-atom scattering factors, no anomalous dispersion.

Largest 10 diffraction maxima, in order of rising 2θ, 2θ from 10° to 90°:
2θ/deg	I (rel.)
19.97	17
23.09	16
32.89	100
38.77	10
47.20	18
53.18	7
58.69	28
58.83	9
78.49	8
78.60	8

Cell and atoms:
abc: 7.702 7.702 7.702
angles: 90.12 90.12 90.12
Positions (direct):
Nd1 0.000 0.000 0.000
Nd2 0.000 0.500 0.500
Nd3 0.500 0.000 0.500
Nd4 0.500 0.500 0.000
Tm1 0.242 0.242 0.756
Tm2 0.242 0.756 0.242
Tm3 0.243 0.243 0.243
Tm4 0.244 0.758 0.758
Tm5 0.756 0.242 0.242
Tm6 0.757 0.757 0.757
Tm7 0.758 0.244 0.758
Tm8 0.758 0.758 0.244
Sc1 0.500 0.500 0.500

=====

[6]
LaPm5Ho2Tm: computed X-ray diffraction stick pattern (Cu Kα X-rays), based on a crystal structure in Alexandria, relaxed with PBE.
Neutral-atom scattering factors, no anomalous dispersion.

Largest 10 diffraction maxima, in order of rising 2θ, 2θ from 10° to 90°:
2θ/deg	I (rel.)
27.84	20
29.99	43
31.37	42
31.96	100
33.67	12
42.43	13
50.76	12
56.22	20
58.98	14
60.90	15

Cell and atoms:
abc: 10.477 10.477 10.647
angles: 90.00 90.00 148.41
Positions (direct):
La1 0.084 0.916 0.500
La2 0.916 0.084 0.000
Pm1 0.019 0.981 0.788
Pm2 0.116 0.884 0.069
Pm3 0.203 0.797 0.754
Pm4 0.220 0.780 0.362
Pm5 0.483 0.517 0.069
Pm6 0.517 0.483 0.569
Pm7 0.780 0.220 0.862
Pm8 0.797 0.203 0.254
Pm9 0.884 0.116 0.569
Pm10 0.981 0.019 0.288
Ho1 0.385 0.615 0.365
Ho2 0.386 0.614 0.780
Ho3 0.614 0.386 0.280
Ho4 0.615 0.385 0.865
Tm1 0.301 0.699 0.058
Tm2 0.699 0.301 0.558

=====

[7]
Na8Tl3Hg: computed X-ray diffraction stick pattern (Cu Kα X-rays), based on a crystal structure in Alexandria, relaxed with PBE.
Neutral-atom scattering factors, no anomalous dispersion.

Largest 10 diffraction maxima, in order of rising 2θ, 2θ from 10° to 90°:
2θ/deg	I (rel.)
20.01	51
20.47	100
21.03	49
23.79	39
33.07	48
33.83	23
33.97	22
34.36	43
39.62	38
40.51	25

Cell and atoms:
abc: 7.484 7.484 9.002
angles: 112.56 112.56 90.14
Positions (direct):
Na1 0.118 0.621 0.253
Na2 0.130 0.130 0.252
Na3 0.368 0.368 0.749
Na4 0.379 0.882 0.747
Na5 0.621 0.118 0.253
Na6 0.632 0.632 0.251
Na7 0.870 0.870 0.748
Na8 0.882 0.379 0.747
Tl1 0.250 0.750 0.000
Tl2 0.500 0.500 0.500
Tl3 0.750 0.250 0.000
Hg1 0.000 0.000 0.500

=====

What did the third record say?
LaInBiTe: computed X-ray diffraction stick pattern (Cu Kα X-rays), based on a crystal structure in Alexandria, relaxed with PBE.
Neutral-atom scattering factors, no anomalous dispersion.

Largest 10 diffraction maxima, in order of rising 2θ, 2θ from 10° to 90°:
2θ/deg	I (rel.)
26.07	36
30.93	100
33.05	60
42.57	20
44.42	18
47.44	22
56.46	18
57.72	34
76.77	7
79.00	10

Cell and atoms:
abc: 5.420 5.420 8.806
angles: 90.00 90.00 90.00
Positions (direct):
La1 0.250 0.250 0.198
La2 0.750 0.750 0.802
In1 0.250 0.750 0.500
In2 0.750 0.250 0.500
Bi1 0.250 0.250 0.684
Bi2 0.750 0.750 0.316
Te1 0.250 0.750 0.000
Te2 0.750 0.250 0.000

=====

Copy entry 4 word for word.
NdEr4Tm: computed X-ray diffraction stick pattern (Cu Kα X-rays), based on a crystal structure in Alexandria, relaxed with PBE.
Neutral-atom scattering factors, no anomalous dispersion.

Largest 10 diffraction maxima, in order of rising 2θ, 2θ from 10° to 90°:
2θ/deg	I (rel.)
27.58	50
30.33	15
30.94	56
31.41	95
35.53	100
41.92	33
53.82	21
55.33	19
58.05	24
63.37	52

Cell and atoms:
abc: 3.426 5.781 9.817
angles: 90.00 90.00 90.00
Positions (direct):
Nd1 0.000 0.000 0.000
Er1 0.000 0.500 0.192
Er2 0.000 0.500 0.808
Er3 0.500 0.000 0.315
Er4 0.500 0.000 0.685
Tm1 0.500 0.500 0.500